Structure and calculated powder diffraction line list of LiMg (a structure optimized by DFT (GGA-PBE); Cu Kα X-rays).
Intensities are scaled so that the largest is 100.

Cell and atoms:
```
LiMg
1.0
3.4220 0.0000 0.0000
0.0000 3.4220 0.0000
0.0000 0.0000 3.4220
Li Mg
1 1
direct
0.0000 0.0000 0.0000
0.5000 0.5000 0.5000
```

Peak list (8 most intense, 10 to 90 degrees two-theta, in order of rising 2θ)
2theta, intensity, (hkl)
26.0, 59, 1 0 0
37.2, 100, 1 1 0
45.9, 16, 1 1 1
53.6, 17, 2 0 0
60.5, 20, 2 1 0
67.0, 33, 2 1 1
79.2, 10, 2 2 0
85.0, 9, 3 0 0